Computed X-ray diffraction stick pattern
Compound: MgTi4O8
Radiation: copper Kα
Structure: a structure optimized by DFT (GGA-PBE)

Structural model:
```
data_MgTi4O8
_space_group_name_H-M_alt 'C 1 m 1'
_space_group_IT_number 8
_cell_length_a 14.6356
_cell_length_b 2.9471
_cell_length_c 9.6223
_cell_angle_alpha 90.00
_cell_angle_beta 130.07
_cell_angle_gamma 90.00
loop_
_space_group_symop_operation_xyz
'x,y,z'
'x,-y,z'
'x+1/2,y+1/2,z'
'x+1/2,-y+1/2,z'
loop_
_atom_site_label
_atom_site_fract_x
_atom_site_fract_y
_atom_site_fract_z
Mg1 0.0000 0.0000 0.0000
Ti1 0.1865 0.0000 0.9974
Ti2 0.2033 0.5000 0.3682
Ti3 0.4746 0.5000 0.2805
Ti4 0.4915 0.0000 0.6343
O1 0.0421 0.5000 0.8953
O2 0.1104 0.0000 0.7461
O3 0.1547 0.0000 0.4404
O4 0.1850 0.0000 0.2066
O5 0.2987 0.5000 0.0840
O6 0.3698 0.5000 0.5504
O7 0.4735 0.0000 0.4169
O8 0.4894 0.0000 0.1368
```

Principal peaks in the range 2θ = 5–70°, low angle first:
two_theta	I_rel
12.02	100
12.23	89
15.83	94
18.44	99
28.82	47
31.96	67
35.59	60
35.75	39
36.73	41
49.71	45
55.19	37
64.62	45


Computed X-ray diffraction stick pattern
Compound: MgTi3O6
Radiation: copper Kα
Structure: a structure optimized by DFT (GGA-PBE)

Structural model:
```
data_MgTi3O6
_space_group_name_H-M_alt 'C 1 m 1'
_space_group_IT_number 8
_cell_length_a 14.0767
_cell_length_b 2.9679
_cell_length_c 5.1836
_cell_angle_alpha 90.00
_cell_angle_beta 94.42
_cell_angle_gamma 90.00
loop_
_space_group_symop_operation_xyz
'x,y,z'
'x,-y,z'
'x+1/2,y+1/2,z'
'x+1/2,-y+1/2,z'
loop_
_atom_site_label
_atom_site_fract_x
_atom_site_fract_y
_atom_site_fract_z
Mg1 0.0000 0.0000 0.0000
Ti1 0.0476 0.5000 0.5096
Ti2 0.2055 0.0000 0.0461
Ti3 0.3463 0.5000 0.5776
O1 0.1036 0.0000 0.7311
O2 0.1087 0.5000 0.1797
O3 0.2724 0.5000 0.8826
O4 0.2818 0.0000 0.3794
O5 0.4370 0.0000 0.7723
O6 0.4591 0.5000 0.3557
```

Principal peaks in the range 2θ = 5–70°, low angle first:
two_theta	I_rel
20.54	45
22.13	82
29.65	100
31.91	52
34.72	35
35.21	67
35.83	70
40.65	95
48.92	35
51.86	47
62.22	57
62.60	34


Computed X-ray diffraction stick pattern
Compound: MgTiO2
Radiation: copper Kα
Structure: a structure optimized by DFT (GGA-PBE)

Structural model:
```
data_MgTiO2
_space_group_name_H-M_alt 'R 3 m'
_space_group_IT_number 160
_space_group_name_Hall 'R 3 -2"'
_cell_length_a 3.0002
_cell_length_b 3.0002
_cell_length_c 21.5160
_cell_angle_alpha 90.00
_cell_angle_beta 90.00
_cell_angle_gamma 120.00
loop_
_atom_site_label
_atom_site_fract_x
_atom_site_fract_y
_atom_site_fract_z
Mg1 0.0000 0.0000 0.0000
Ti1 0.0000 0.0000 0.1671
O1 0.0000 0.0000 0.5483
O2 0.0000 0.0000 0.7858
```

Principal peaks in the range 2θ = 5–70°, low angle first:
two_theta	I_rel
12.34	100
24.83	41
34.78	20
35.54	20
40.56	59
45.72	13
48.73	18
55.45	7
59.12	12
61.85	19
67.04	11
67.71	13


Computed X-ray diffraction stick pattern
Compound: MgTiO3
Radiation: copper Kα
Structure: a structure optimized by DFT (GGA-PBE)

Structural model:
```
data_MgTiO3
_space_group_name_H-M_alt 'P m -3 m'
_space_group_IT_number 221
_space_group_name_Hall '-P 4 2 3'
_cell_length_a 3.8425
_cell_length_b 3.8425
_cell_length_c 3.8425
_cell_angle_alpha 90.00
_cell_angle_beta 90.00
_cell_angle_gamma 90.00
loop_
_atom_site_label
_atom_site_fract_x
_atom_site_fract_y
_atom_site_fract_z
Mg1 0.0000 0.0000 0.0000
Ti1 0.5000 0.5000 0.5000
O1 0.0000 0.5000 0.5000
```

Principal peaks in the range 2θ = 5–70°, low angle first:
two_theta	I_rel
23.15	64
32.97	100
40.67	8
47.31	76
53.31	18
58.87	37
69.15	40


Computed X-ray diffraction stick pattern
Compound: MgTiO2
Radiation: copper Kα
Structure: a structure optimized by DFT (GGA-PBE)

Structural model:
```
data_MgTiO2
_space_group_name_H-M_alt 'C 1 2/m 1'
_space_group_IT_number 12
_cell_length_a 16.7979
_cell_length_b 2.8375
_cell_length_c 10.8241
_cell_angle_alpha 90.00
_cell_angle_beta 128.60
_cell_angle_gamma 90.00
loop_
_space_group_symop_operation_xyz
'x,y,z'
'-x,-y,-z'
'-x,y,-z'
'x,-y,z'
'x+1/2,y+1/2,z'
'-x+1/2,-y+1/2,-z'
'-x+1/2,y+1/2,-z'
'x+1/2,-y+1/2,z'
loop_
_atom_site_label
_atom_site_fract_x
_atom_site_fract_y
_atom_site_fract_z
Mg1 0.0666 0.0000 0.3825
Mg2 0.1110 0.5000 0.6699
Ti1 0.1634 0.5000 0.9789
Ti2 0.2051 0.0000 0.3046
O1 0.0910 0.0000 0.7964
O2 0.1389 0.5000 0.3513
O3 0.1438 0.0000 0.0948
O4 0.1837 0.0000 0.6293
```

Principal peaks in the range 2θ = 5–70°, low angle first:
two_theta	I_rel
13.49	100
22.11	41
27.17	40
31.73	80
35.38	68
36.27	24
40.45	34
41.66	65
43.07	22
49.81	22
53.23	38
58.27	26


Computed X-ray diffraction stick pattern
Compound: MgTiO2
Radiation: copper Kα
Structure: a structure optimized by DFT (GGA-PBE)

Structural model:
```
data_MgTiO2
_space_group_name_H-M_alt 'P -1'
_space_group_IT_number 2
_cell_length_a 2.8911
_cell_length_b 7.9230
_cell_length_c 8.0357
_cell_angle_alpha 87.20
_cell_angle_beta 79.86
_cell_angle_gamma 79.53
loop_
_space_group_symop_operation_xyz
'x,y,z'
'-x,-y,-z'
loop_
_atom_site_label
_atom_site_fract_x
_atom_site_fract_y
_atom_site_fract_z
Mg1 0.0666 0.2534 0.1066
Mg2 0.1846 0.4500 0.6876
Ti1 0.1774 0.8941 0.2445
Ti2 0.4603 0.1610 0.4186
O1 0.1782 0.6982 0.4407
O2 0.1964 0.2591 0.8586
O3 0.3709 0.9341 0.8303
O4 0.4353 0.3838 0.2393
```

Principal peaks in the range 2θ = 5–70°, low angle first:
two_theta	I_rel
11.19	56
11.36	100
22.48	47
32.55	70
35.77	70
36.22	28
39.36	54
39.49	55
39.69	27
41.71	64
52.27	53
64.46	32


Computed X-ray diffraction stick pattern
Compound: Mg2TiO
Radiation: copper Kα
Structure: a structure optimized by DFT (GGA-PBE)

Structural model:
```
data_Mg2TiO
_space_group_name_H-M_alt 'P -1'
_space_group_IT_number 2
_cell_length_a 5.9327
_cell_length_b 6.1223
_cell_length_c 20.9715
_cell_angle_alpha 82.08
_cell_angle_beta 82.37
_cell_angle_gamma 62.11
loop_
_space_group_symop_operation_xyz
'x,y,z'
'-x,-y,-z'
loop_
_atom_site_label
_atom_site_fract_x
_atom_site_fract_y
_atom_site_fract_z
Mg1 0.0000 0.0000 0.0000
Mg2 0.1217 0.6255 0.6264
Mg3 0.1252 0.1247 0.1251
Mg4 0.1254 0.6252 0.1249
Mg5 0.2507 0.2501 0.2498
Mg6 0.3731 0.3772 0.3751
Mg7 0.3749 0.8753 0.8747
Mg8 0.3772 0.8706 0.3766
Mg9 0.5000 0.5000 0.5000
Ti1 0.0000 0.0000 0.5000
Ti2 0.0000 0.5000 0.0000
Ti3 0.0000 0.5000 0.5000
Ti4 0.2500 0.2491 0.7503
Ti5 0.2498 0.7505 0.2487
Ti6 0.5000 0.5000 0.0000
O1 0.0908 0.0913 0.7162
O2 0.1554 0.1646 0.5326
O3 0.3446 0.3364 0.9675
O4 0.4047 0.4124 0.7827
```

Principal peaks in the range 2θ = 5–70°, low angle first:
two_theta	I_rel
17.13	85
17.35	31
20.00	53
28.28	51
33.59	41
34.65	100
35.12	96
36.09	93
36.77	89
40.65	45
41.68	42
41.91	41


Computed X-ray diffraction stick pattern
Compound: MgTi4O8
Radiation: copper Kα
Structure: a structure optimized by DFT (GGA-PBE)

Structural model:
```
data_MgTi4O8
_space_group_name_H-M_alt 'R -3 m'
_space_group_IT_number 166
_space_group_name_Hall '-R 3 2"'
_cell_length_a 6.0217
_cell_length_b 6.0217
_cell_length_c 14.3557
_cell_angle_alpha 90.00
_cell_angle_beta 90.00
_cell_angle_gamma 120.00
loop_
_atom_site_label
_atom_site_fract_x
_atom_site_fract_y
_atom_site_fract_z
Mg1 0.0000 0.0000 0.0000
Ti1 0.0000 0.0000 0.5000
Ti2 0.0000 0.5000 0.0000
O1 0.0000 0.0000 0.2657
O2 0.0237 0.5118 0.2571
```

Principal peaks in the range 2θ = 5–70°, low angle first:
two_theta	I_rel
18.10	62
18.54	61
34.97	21
35.22	13
35.70	7
36.67	11
42.87	100
56.64	6
57.14	10
61.61	28
62.87	25
64.94	9


Computed X-ray diffraction stick pattern
Compound: MgTi4O8
Radiation: copper Kα
Structure: a structure optimized by DFT (GGA-PBE)

Structural model:
```
data_MgTi4O8
_space_group_name_H-M_alt 'C 1 m 1'
_space_group_IT_number 8
_cell_length_a 9.3052
_cell_length_b 6.2327
_cell_length_c 6.4508
_cell_angle_alpha 90.00
_cell_angle_beta 130.17
_cell_angle_gamma 90.00
loop_
_space_group_symop_operation_xyz
'x,y,z'
'x,-y,z'
'x+1/2,y+1/2,z'
'x+1/2,-y+1/2,z'
loop_
_atom_site_label
_atom_site_fract_x
_atom_site_fract_y
_atom_site_fract_z
Mg1 0.0000 0.0000 0.0000
Ti1 0.0536 0.2631 0.5356
Ti2 0.2050 0.5000 0.1362
Ti3 0.3110 0.0000 0.0037
O1 0.0338 0.0000 0.7166
O2 0.0618 0.5000 0.7607
O3 0.0850 0.5000 0.3251
O4 0.2658 0.2036 0.2221
O5 0.3221 0.2336 0.8241
O6 0.4832 0.5000 0.2931
```

Principal peaks in the range 2θ = 5–70°, low angle first:
two_theta	I_rel
19.17	100
19.83	21
27.71	40
32.84	29
34.04	84
34.45	22
39.69	42
40.28	57
40.73	30
54.11	23
59.31	23
65.61	20


Computed X-ray diffraction stick pattern
Compound: Mg3TiO4
Radiation: copper Kα
Structure: a structure optimized by DFT (GGA-PBE)

Structural model:
```
data_Mg3TiO4
_space_group_name_H-M_alt 'P m -3 m'
_space_group_IT_number 221
_space_group_name_Hall '-P 4 2 3'
_cell_length_a 4.3137
_cell_length_b 4.3137
_cell_length_c 4.3137
_cell_angle_alpha 90.00
_cell_angle_beta 90.00
_cell_angle_gamma 90.00
loop_
_atom_site_label
_atom_site_fract_x
_atom_site_fract_y
_atom_site_fract_z
Mg1 0.0000 0.0000 0.5000
Ti1 0.5000 0.5000 0.5000
O1 0.0000 0.0000 0.0000
O2 0.0000 0.5000 0.5000
```

Principal peaks in the range 2θ = 5–70°, low angle first:
two_theta	I_rel
20.59	9
29.28	8
36.06	20
41.89	100
47.11	3
51.92	2
60.73	56
64.84	1
68.83	1


Computed X-ray diffraction stick pattern
Compound: MgTi4O8
Radiation: copper Kα
Structure: a structure optimized by DFT (GGA-PBE)

Structural model:
```
data_MgTi4O8
_space_group_name_H-M_alt 'P -1'
_space_group_IT_number 2
_cell_length_a 3.8536
_cell_length_b 6.4393
_cell_length_c 6.4851
_cell_angle_alpha 85.26
_cell_angle_beta 72.73
_cell_angle_gamma 73.89
loop_
_space_group_symop_operation_xyz
'x,y,z'
'-x,-y,-z'
loop_
_atom_site_label
_atom_site_fract_x
_atom_site_fract_y
_atom_site_fract_z
Mg1 0.0000 0.0000 0.0000
Ti1 0.1904 0.2946 0.3089
Ti2 0.4978 0.2959 0.6920
O1 0.0138 0.6489 0.3355
O2 0.3306 0.9994 0.3388
O3 0.3486 0.6490 0.6646
O4 0.3506 0.2455 0.0002
```

Principal peaks in the range 2θ = 5–70°, low angle first:
two_theta	I_rel
14.31	58
20.29	24
25.41	30
28.85	82
32.28	50
32.48	38
32.72	39
32.98	24
43.88	100
47.18	53
63.81	22
66.38	28


Computed X-ray diffraction stick pattern
Compound: MgTi3O6
Radiation: copper Kα
Structure: a structure optimized by DFT (GGA-PBE)

Structural model:
```
data_MgTi3O6
_space_group_name_H-M_alt 'C 1 2 1'
_space_group_IT_number 5
_cell_length_a 9.7736
_cell_length_b 5.2027
_cell_length_c 6.2940
_cell_angle_alpha 90.00
_cell_angle_beta 95.01
_cell_angle_gamma 90.00
loop_
_space_group_symop_operation_xyz
'x,y,z'
'-x,y,-z'
'x+1/2,y+1/2,z'
'-x+1/2,y+1/2,-z'
loop_
_atom_site_label
_atom_site_fract_x
_atom_site_fract_y
_atom_site_fract_z
Mg1 0.0000 0.0000 0.0000
Ti1 0.0000 0.1555 0.5000
Ti2 0.2121 0.4607 0.1580
O1 0.0584 0.2691 0.2258
O2 0.1587 0.9915 0.6182
O3 0.1710 0.7865 0.0298
```

Principal peaks in the range 2θ = 5–70°, low angle first:
two_theta	I_rel
14.13	23
19.34	69
23.55	100
24.10	43
24.51	65
32.56	63
34.59	24
35.33	35
37.43	15
39.27	25
54.56	19
61.82	25